Structure and simulated PXRD pattern of ZrFeSb (a DFT-relaxed cell (PBE, the Materials Project); λ = 1.5418 Å (Cu Kα)).
No peak broadening, texture or thermal motion is included.

Principal peaks in the range 10 to 90 degrees two-theta, by angle:
(1 1 1), 2θ 25.0, 3.568 Å, I = 15
(2 0 0), 2θ 28.9, 3.090 Å, I = 43
(2 2 0), 2θ 41.3, 2.185 Å, I = 100
(4 0 0), 2θ 59.9, 1.545 Å, I = 16
(4 2 0), 2θ 67.8, 1.382 Å, I = 15
(4 2 2), 2θ 75.3, 1.262 Å, I = 32

Structural model:
```
data_ZrFeSb
_space_group_name_H-M_alt 'F -4 3 m'
_space_group_IT_number 216
_space_group_name_Hall 'F -4 2 3'
_cell_length_a 6.180
_cell_length_b 6.180
_cell_length_c 6.180
_cell_angle_alpha 90.00
_cell_angle_beta 90.00
_cell_angle_gamma 90.00
loop_
_atom_site_label
_atom_site_type_symbol
_atom_site_fract_x
_atom_site_fract_y
_atom_site_fract_z
_atom_site_occupancy
Zr1 Zr 0.000 0.000 0.000 1
Fe1 Fe 0.250 0.250 0.750 1
Sb1 Sb 0.000 0.000 0.500 1
```